No. 1
Starting from DFT lattice parameters and positions (PBE), the powder X-ray diffraction pattern of Pu2InI6 was computed for Cu Kα (λ = 1.5418 Å).
No peak broadening, texture or thermal motion is included.

Cell and atoms:
abc: 7.9951 7.9951 7.6605
angles: 90.00 90.00 120.00
Positions (direct):
Pu (0.3333, 0.6667, 0.0000)
Pu (0.6667, 0.3333, 0.0000)
In (0.0000, 0.0000, 0.5000)
I (0.0000, 0.3617, 0.2399)
I (0.0000, 0.6383, 0.7601)
I (0.3617, 0.0000, 0.2399)
I (0.3617, 0.3617, 0.7601)
I (0.6383, 0.0000, 0.7601)
I (0.6383, 0.6383, 0.2399)

Main lines, in order of falling intensity (2θ = 15–90°):
25.1 deg, intensity 100; 32.4 deg, intensity 93; 17.3 deg, intensity 60; 39.0 deg, intensity 50; 42.0 deg, intensity 28; 36.3 deg, intensity 24; 63.1 deg, intensity 24; 51.6 deg, intensity 23; 66.5 deg, intensity 21; 28.3 deg, intensity 17; 47.0 deg, intensity 16; 48.9 deg, intensity 12


No. 2
Starting from DFT lattice parameters and positions (PBE), the powder X-ray diffraction pattern of LiLa2Be2O6 was computed for Cu Kα (λ = 1.5418 Å).
No peak broadening, texture or thermal motion is included.

Cell and atoms:
abc: 6.0203 6.0203 6.0203
angles: 52.35 52.35 52.35
Positions (direct):
Li (0.0000, 0.0000, 0.0000)
La (0.2200, 0.2200, 0.2200)
La (0.7800, 0.7800, 0.7800)
Be (0.4240, 0.4240, 0.4240)
Be (0.5760, 0.5760, 0.5760)
O (0.2462, 0.7427, 0.7427)
O (0.2573, 0.2573, 0.7538)
O (0.2573, 0.7538, 0.2573)
O (0.7427, 0.2462, 0.7427)
O (0.7427, 0.7427, 0.2462)
O (0.7538, 0.2573, 0.2573)

Main lines, in order of falling intensity (2θ = 15–90°):
22.5 deg, intensity 100; 40.9 deg, intensity 57; 33.7 deg, intensity 56; 34.8 deg, intensity 41; 17.1 deg, intensity 37; 30.1 deg, intensity 32; 45.8 deg, intensity 30; 38.1 deg, intensity 24; 45.4 deg, intensity 21; 54.0 deg, intensity 20; 64.3 deg, intensity 19; 49.3 deg, intensity 18


No. 3
Starting from DFT lattice parameters and positions (PBE), the powder X-ray diffraction pattern of Ho8Zn2Fe was computed for Cu Kα (λ = 1.5418 Å).
No peak broadening, texture or thermal motion is included.

Cell and atoms:
abc: 8.9460 8.9460 6.6818
angles: 107.61 107.61 33.53
Positions (direct):
Ho (0.0252, 0.0252, 0.2901)
Ho (0.1985, 0.1985, 0.8038)
Ho (0.3436, 0.3436, 0.5379)
Ho (0.4097, 0.4097, 0.0725)
Ho (0.5903, 0.5903, 0.9275)
Ho (0.6564, 0.6564, 0.4621)
Ho (0.8015, 0.8015, 0.1962)
Ho (0.9748, 0.9748, 0.7099)
Zn (0.1842, 0.1842, 0.2154)
Zn (0.8158, 0.8158, 0.7846)
Fe (0.5000, 0.5000, 0.5000)

Main lines, in order of falling intensity (2θ = 15–90°):
34.8 deg, intensity 100; 30.3 deg, intensity 82; 32.6 deg, intensity 79; 35.1 deg, intensity 70; 31.8 deg, intensity 66; 32.1 deg, intensity 54; 32.8 deg, intensity 42; 37.1 deg, intensity 36; 29.8 deg, intensity 25; 59.6 deg, intensity 24; 60.5 deg, intensity 19; 68.8 deg, intensity 18


No. 4
Starting from DFT lattice parameters and positions (PBE), the powder X-ray diffraction pattern of Nd3GaCu2 was computed for Cu Kα (λ = 1.5418 Å).
No peak broadening, texture or thermal motion is included.

Cell and atoms:
abc: 3.5978 3.5978 11.0741
angles: 90.00 90.00 90.00
Positions (direct):
Nd (0.0000, 0.0000, 0.0000)
Nd (0.0000, 0.0000, 0.3273)
Nd (0.0000, 0.0000, 0.6727)
Ga (0.5000, 0.5000, 0.5000)
Cu (0.5000, 0.5000, 0.1608)
Cu (0.5000, 0.5000, 0.8392)

Main lines, in order of falling intensity (2θ = 15–90°):
34.8 deg, intensity 100; 35.3 deg, intensity 49; 63.0 deg, intensity 35; 62.1 deg, intensity 18; 50.8 deg, intensity 17; 24.7 deg, intensity 14; 73.5 deg, intensity 11; 49.4 deg, intensity 9; 24.1 deg, intensity 7; 85.3 deg, intensity 7; 85.0 deg, intensity 7; 82.9 deg, intensity 7


No. 5
Starting from DFT lattice parameters and positions (PBE), the powder X-ray diffraction pattern of CdBRh3 was computed for Cu Kα (λ = 1.5418 Å).
No peak broadening, texture or thermal motion is included.

Cell and atoms:
abc: 7.8077 7.8077 7.8077
angles: 36.53 36.53 36.53
Positions (direct):
Cd (0.1681, 0.1681, 0.1681)
Cd (0.8319, 0.8319, 0.8319)
B (0.3337, 0.3337, 0.3337)
B (0.6663, 0.6663, 0.6663)
Rh (0.0576, 0.7344, 0.3871)
Rh (0.2656, 0.6129, 0.9424)
Rh (0.3871, 0.0576, 0.7344)
Rh (0.6129, 0.9424, 0.2656)
Rh (0.7344, 0.3871, 0.0576)
Rh (0.9424, 0.2656, 0.6129)

Main lines, in order of falling intensity (2θ = 15–90°):
38.8 deg, intensity 100; 44.6 deg, intensity 69; 37.1 deg, intensity 36; 63.7 deg, intensity 23; 78.3 deg, intensity 23; 66.2 deg, intensity 21; 76.1 deg, intensity 12; 79.4 deg, intensity 12; 83.3 deg, intensity 11; 21.4 deg, intensity 9; 22.5 deg, intensity 8; 26.6 deg, intensity 5


No. 6
Starting from DFT lattice parameters and positions (PBE), the powder X-ray diffraction pattern of Pm2Si4Os3 was computed for Cu Kα (λ = 1.5418 Å).
No peak broadening, texture or thermal motion is included.

Cell and atoms:
abc: 7.9630 7.9630 7.0664
angles: 90.00 90.00 136.88
Positions (direct):
Pm (0.1100, 0.8900, 0.9077)
Pm (0.3900, 0.6100, 0.4077)
Pm (0.6100, 0.3900, 0.5923)
Pm (0.8900, 0.1100, 0.0923)
Si (0.1790, 0.8210, 0.5174)
Si (0.1887, 0.3113, 0.7500)
Si (0.3113, 0.1887, 0.2500)
Si (0.3210, 0.6790, 0.0174)
Si (0.6790, 0.3210, 0.9826)
Si (0.6887, 0.8113, 0.7500)
Si (0.8113, 0.6887, 0.2500)
Si (0.8210, 0.1790, 0.4826)
Os (0.0000, 0.0000, 0.5000)
Os (0.0237, 0.4763, 0.7500)
Os (0.4763, 0.0237, 0.2500)
Os (0.5000, 0.5000, 0.0000)
Os (0.5237, 0.9763, 0.7500)
Os (0.9763, 0.5237, 0.2500)

Main lines, in order of falling intensity (2θ = 15–90°):
40.0 deg, intensity 100; 28.0 deg, intensity 98; 36.3 deg, intensity 91; 32.9 deg, intensity 74; 26.8 deg, intensity 57; 35.3 deg, intensity 44; 38.6 deg, intensity 38; 40.2 deg, intensity 32; 47.2 deg, intensity 29; 39.2 deg, intensity 28; 63.1 deg, intensity 27; 34.8 deg, intensity 27